Starting from a structure optimized by DFT (GGA-PBE), the X-ray powder pattern of ErGa2Cu3 was computed for Cu Kα X-rays.
No peak broadening, texture or thermal motion is included.

Most intense lines, 10° ≤ 2θ ≤ 90°, in order of falling intensity:
2θ (°), I (rel.)
41.67, 100
41.20, 72
29.50, 49
43.85, 42
40.52, 38
35.25, 32
29.71, 27
67.00, 23
61.23, 22
74.54, 16

Structural model:
```
data_ErGa2Cu3
_chemical_formula_sum 'Er2 Ga4 Cu6'
_symmetry_space_group_name_H-M 'C m m m'
_symmetry_Int_Tables_number 65
_symmetry_space_group_name_Hall '-C 2 2'
_cell_length_a 5.1664
_cell_length_b 8.7782
_cell_length_c 4.1293
_cell_angle_alpha 90.00
_cell_angle_beta 90.00
_cell_angle_gamma 90.00
loop_
_atom_site_label
_atom_site_type_symbol
_atom_site_fract_x
_atom_site_fract_y
_atom_site_fract_z
Er1 Er 0.0000 0.0000 0.0000
Ga1 Ga 0.2500 0.2500 0.5000
Cu1 Cu 0.0000 0.3344 0.0000
Cu2 Cu 0.0000 0.5000 0.5000
```